The following is a calculated powder XRD pattern of CrH8N2O4. It was derived from a cell relaxed with GGA+U, using Cu Kα.
No peak broadening, texture or thermal motion is included.

Lattice parameters (Å, degrees): 6.8067 6.8067 7.7712 110.48 110.48 57.64
Sites, in units of the cell vectors:
Cr 0.1780 0.1780 0.2246
Cr 0.8220 0.8220 0.7754
H 0.0780 0.0780 0.7495
H 0.0869 0.3410 0.8057
H 0.1457 0.1457 0.5966
H 0.3225 0.5780 0.8068
H 0.3410 0.0869 0.8057
H 0.4052 0.4052 0.5981
H 0.4220 0.6775 0.1932
H 0.4461 0.4461 0.2576
H 0.5539 0.5539 0.7424
H 0.5780 0.3225 0.8068
H 0.5948 0.5948 0.4019
H 0.6590 0.9131 0.1943
H 0.6775 0.4220 0.1932
H 0.8543 0.8543 0.4034
H 0.9131 0.6590 0.1943
H 0.9220 0.9220 0.2505
N 0.1624 0.1624 0.7401
N 0.4661 0.4661 0.7406
N 0.5339 0.5339 0.2594
N 0.8376 0.8376 0.2599
O 0.0642 0.6454 0.9074
O 0.0968 0.0968 0.3564
O 0.3282 0.3282 0.3593
O 0.3546 0.9358 0.0926
O 0.6454 0.0642 0.9074
O 0.6718 0.6718 0.6407
O 0.9032 0.9032 0.6436
O 0.9358 0.3546 0.0926

Most intense lines, 2θ from 5° to 70°, in order of rising 2θ:
16.01°, d = 5.534 Å, I = 37
17.97°, d = 4.937 Å, I = 100
22.05°, d = 4.031 Å, I = 43
23.75°, d = 3.746 Å, I = 34
25.00°, d = 3.562 Å, I = 48
27.18°, d = 3.281 Å, I = 51
28.00°, d = 3.186 Å, I = 66
37.26°, d = 2.413 Å, I = 46